[1]
Structure and calculated X-ray powder pattern of MnP4 (a structure optimized by DFT (GGA-PBE); copper Kα).

Largest 10 diffraction maxima, by angle, 2θ = 10–80°:
| 2θ (°) | I/Imax | hkl |
| --- | --- | --- |
| 19.4 | 53.3 | 1 0 0 |
| 22.7 | 56.0 | 1 1 1 |
| 31.8 | 78.3 | -1 1 1 |
| 32.9 | 93.7 | 1 0 2 |
| 33.0 | 100.0 | 0 2 0 |
| 39.4 | 41.2 | 2 0 0 |
| 50.0 | 58.8 | 1 3 1 |
| 52.1 | 32.9 | 0 1 3 |
| 52.3 | 40.6 | -1 3 1 |
| 57.5 | 34.8 | 2 1 -1 |

```
data_MnP4
_chemical_formula_sum 'Mn2 P8'
_cell_length_a 5.110
_cell_length_b 5.836
_cell_length_c 5.866
_cell_angle_alpha 69.19
_cell_angle_beta 64.21
_cell_angle_gamma 86.25
_space_group_name_H-M_alt 'P -1'
_space_group_IT_number 2
loop_
_space_group_symop_operation_xyz
'x,y,z'
'-x,-y,-z'
loop_
_atom_site_label
_atom_site_fract_x
_atom_site_fract_y
_atom_site_fract_z
Mn1 0.002 0.224 0.285
P1 0.119 0.651 0.078
P2 0.126 0.169 0.620
P3 0.443 0.697 0.455
P4 0.449 0.195 0.990
```

[2]
Structure and calculated X-ray powder pattern of YB2Pd7 (a structure optimized by DFT (GGA-PBE); copper Kα).

Largest 6 diffraction maxima, by angle, 2θ = 10–80°:
| 2θ (°) | I/Imax | hkl |
| --- | --- | --- |
| 21.0 | 0.6 | 2 0 0 |
| 36.7 | 100.0 | 2 2 2 |
| 42.7 | 52.6 | 4 0 0 |
| 61.9 | 33.9 | 4 4 0 |
| 74.2 | 36.9 | 6 2 2 |
| 78.1 | 11.4 | 4 4 4 |

```
data_YB2Pd7
_chemical_formula_sum 'Y4 B8 Pd28'
_cell_length_a 8.477
_cell_length_b 8.477
_cell_length_c 8.477
_cell_angle_alpha 90.00
_cell_angle_beta 90.00
_cell_angle_gamma 90.00
_space_group_name_H-M_alt 'F m -3 m'
_space_group_IT_number 225
_space_group_name_Hall '-F 4 2 3'
loop_
_atom_site_label
_atom_site_fract_x
_atom_site_fract_y
_atom_site_fract_z
Y1 0.000 0.000 0.000
B1 0.250 0.250 0.250
Pd1 0.000 0.000 0.500
Pd2 0.000 0.250 0.250
```

[3]
Structure and calculated X-ray powder pattern of SnGeO3 (a structure optimized by DFT (GGA-PBE); copper Kα).

Largest 10 diffraction maxima, by angle, 2θ = 10–80°:
| 2θ (°) | I/Imax | hkl |
| --- | --- | --- |
| 25.9 | 89.9 | 1 2 -1 |
| 26.0 | 70.6 | 3 0 0 |
| 28.0 | 91.2 | 2 0 2 |
| 28.9 | 100.0 | 3 0 -4 |
| 29.7 | 41.1 | 2 2 -2 |
| 30.5 | 79.6 | 4 0 -2 |
| 32.4 | 45.9 | 1 2 2 |
| 34.1 | 45.0 | 3 2 -1 |
| 43.1 | 34.2 | 1 2 -5 |
| 57.4 | 35.0 | 7 0 -6 |

```
data_SnGeO3
_chemical_formula_sum 'Sn12 Ge12 O36'
_cell_length_a 11.738
_cell_length_b 7.256
_cell_length_c 13.421
_cell_angle_alpha 90.00
_cell_angle_beta 118.89
_cell_angle_gamma 90.00
_space_group_name_H-M_alt 'P 1 2/c 1'
_space_group_IT_number 13
loop_
_space_group_symop_operation_xyz
'x,y,z'
'-x,-y,-z'
'-x,y,-z+1/2'
'x,-y,z+1/2'
loop_
_atom_site_label
_atom_site_fract_x
_atom_site_fract_y
_atom_site_fract_z
Sn1 0.083 0.112 0.164
Sn2 0.291 0.195 0.600
Sn3 0.369 0.461 0.318
Ge1 0.045 0.382 0.654
Ge2 0.248 0.326 0.040
Ge3 0.358 0.095 0.887
O1 0.000 0.273 0.750
O2 0.104 0.462 0.964
O3 0.115 0.197 0.616
O4 0.153 0.433 0.215
O5 0.220 0.119 0.093
O6 0.247 0.082 0.327
O7 0.311 0.288 0.944
O8 0.356 0.474 0.149
O9 0.389 0.227 0.790
O10 0.500 0.000 0.000
```

[4]
Structure and calculated X-ray powder pattern of TaB2Mo (a structure optimized by DFT (GGA-PBE); copper Kα).

Largest 10 diffraction maxima, by angle, 2θ = 10–80°:
| 2θ (°) | I/Imax | hkl |
| --- | --- | --- |
| 20.6 | 25.0 | 0 0 2 |
| 29.4 | 65.4 | 0 1 1 |
| 35.5 | 97.1 | 1 0 2 |
| 41.5 | 100.0 | 1 1 1 |
| 42.0 | 90.3 | 0 1 3 |
| 51.5 | 34.3 | 1 0 4 |
| 56.8 | 15.7 | 0 2 0 |
| 68.5 | 29.1 | 1 1 5 |
| 68.8 | 28.5 | 1 2 2 |
| 75.1 | 32.5 | 2 1 3 |

```
data_TaB2Mo
_chemical_formula_sum 'Ta2 B4 Mo2'
_cell_length_a 3.128
_cell_length_b 3.243
_cell_length_c 8.623
_cell_angle_alpha 90.00
_cell_angle_beta 90.00
_cell_angle_gamma 90.00
_space_group_name_H-M_alt 'A m m 2'
_space_group_IT_number 38
loop_
_space_group_symop_operation_xyz
'x,y,z'
'-x,-y,z'
'-x,y,z'
'x,-y,z'
'x,y+1/2,z+1/2'
'-x,-y+1/2,z+1/2'
'-x,y+1/2,z+1/2'
'x,-y+1/2,z+1/2'
loop_
_atom_site_label
_atom_site_fract_x
_atom_site_fract_y
_atom_site_fract_z
Ta1 0.000 0.000 0.000
B1 0.000 0.000 0.294
B2 0.500 0.000 0.412
Mo1 0.500 0.000 0.709
```

[5]
Structure and calculated X-ray powder pattern of GeO2 (a structure optimized by DFT (GGA-PBE); copper Kα).

Largest 10 diffraction maxima, by angle, 2θ = 10–80°:
| 2θ (°) | I/Imax | hkl |
| --- | --- | --- |
| 20.2 | 19.0 | 1 0 0 |
| 25.5 | 100.0 | 1 0 1 |
| 35.3 | 9.6 | 1 1 0 |
| 37.3 | 20.2 | 0 1 2 |
| 38.7 | 13.1 | 1 1 1 |
| 41.0 | 18.0 | 2 0 0 |
| 47.7 | 12.2 | 1 1 2 |
| 57.6 | 16.2 | 1 2 1 |
| 64.4 | 10.2 | 0 2 3 |
| 64.6 | 11.9 | 2 1 2 |

```
data_GeO2
_chemical_formula_sum 'Ge3 O6'
_cell_length_a 5.0884
_cell_length_b 5.0884
_cell_length_c 5.7596
_cell_angle_alpha 90.00
_cell_angle_beta 90.00
_cell_angle_gamma 120.00
_space_group_name_H-M_alt 'P 31 2 1'
_space_group_IT_number 152
loop_
_space_group_symop_operation_xyz
'x,y,z'
'-y,x-y,z+1/3'
'-x+y,-x,z+2/3'
'y,x,-z'
'x-y,-y,-z+2/3'
'-x,-x+y,-z+1/3'
loop_
_atom_site_label
_atom_site_fract_x
_atom_site_fract_y
_atom_site_fract_z
Ge1 0.0000 0.4554 0.1667
O1 0.0999 0.7018 0.9251
```

[6]
Structure and calculated X-ray powder pattern of Tb4In20Ni11 (a structure optimized by DFT (GGA-PBE); copper Kα).

Largest 10 diffraction maxima, by angle, 2θ = 10–80°:
| 2θ (°) | I/Imax | hkl |
| --- | --- | --- |
| 31.6 | 38.6 | 1 1 -4 |
| 34.5 | 31.4 | 3 1 -5 |
| 34.7 | 61.3 | 5 1 -5 |
| 35.1 | 84.9 | 5 1 1 |
| 35.3 | 61.8 | 7 1 -2 |
| 35.6 | 51.5 | 7 1 -4 |
| 35.9 | 64.1 | 1 1 4 |
| 36.9 | 28.0 | 7 1 -1 |
| 41.9 | 100.0 | 0 2 0 |
| 42.7 | 33.4 | 1 1 -6 |

```
data_Tb4In20Ni11
_chemical_formula_sum 'Tb8 In40 Ni22'
_cell_length_a 22.524
_cell_length_b 4.314
_cell_length_c 16.484
_cell_angle_alpha 90.00
_cell_angle_beta 124.00
_cell_angle_gamma 90.00
_space_group_name_H-M_alt 'C 1 2/m 1'
_space_group_IT_number 12
loop_
_space_group_symop_operation_xyz
'x,y,z'
'-x,-y,-z'
'-x,y,-z'
'x,-y,z'
'x+1/2,y+1/2,z'
'-x+1/2,-y+1/2,-z'
'-x+1/2,y+1/2,-z'
'x+1/2,-y+1/2,z'
loop_
_atom_site_label
_atom_site_fract_x
_atom_site_fract_y
_atom_site_fract_z
Tb1 0.119 0.000 0.330
Tb2 0.229 0.000 0.824
In1 0.011 0.000 0.096
In2 0.041 0.500 0.378
In3 0.062 0.000 0.789
In4 0.102 0.500 0.990
In5 0.112 0.500 0.691
In6 0.115 0.000 0.551
In7 0.128 0.500 0.195
In8 0.203 0.000 0.002
In9 0.203 0.500 0.502
In10 0.246 0.000 0.290
Ni1 0.000 0.500 0.500
Ni2 0.007 0.500 0.197
Ni3 0.022 0.000 0.597
Ni4 0.137 0.000 0.103
Ni5 0.153 0.500 0.879
Ni6 0.245 0.500 0.381
```